Starting from a cell relaxed with GGA-PBE, the powder XRD pattern of Li2Al2Si4O13 was simulated for Cu Ka.
Neutral-atom scattering factors, no anomalous dispersion.

Peak list (10 most intense, 10° ≤ 2θ ≤ 80°, by angle)
| index | d (Å) | intensity |
| --- | --- | --- |
| 0 0 1 | 7.923 | 45 |
| 0 1 0 | 7.033 | 36 |
| 0 1 1 | 6.828 | 22 |
| 0 1 -1 | 4.435 | 22 |
| 1 0 1 | 4.249 | 100 |
| 0 2 1 | 3.852 | 10 |
| 0 2 0 | 3.517 | 49 |
| 0 2 2 | 3.414 | 35 |
| 1 0 -2 | 3.113 | 12 |
| 2 0 0 | 2.517 | 27 |

Structure:
Cell lengths 5.034, 7.710, 8.685 Å; angles 65.82, 89.50, 89.17 degrees
Space group P1 (No. 1)
Inequivalent atoms, fractional coordinates:
Li  0.000  0.000  0.000 (multiplicity 1)
Li  0.494  0.242  0.404 (multiplicity 1)
Al  0.001  0.227  0.594 (multiplicity 1)
Al  0.491  0.193  0.082 (multiplicity 1)
Si  0.050  0.637  0.591 (multiplicity 1)
Si  0.502  0.037  0.802 (multiplicity 1)
Si  0.547  0.620  0.809 (multiplicity 1)
Si  0.992  0.063  0.320 (multiplicity 1)
O  0.039  0.470  0.526 (multiplicity 1)
O  0.104  0.709  0.112 (multiplicity 1)
O  0.127  0.171  0.429 (multiplicity 1)
O  0.174  0.093  0.154 (multiplicity 1)
O  0.185  0.095  0.780 (multiplicity 1)
O  0.351  0.659  0.649 (multiplicity 1)
O  0.464  0.438  0.974 (multiplicity 1)
O  0.539  0.808  0.854 (multiplicity 1)
O  0.625  0.077  0.958 (multiplicity 1)
O  0.661  0.161  0.626 (multiplicity 1)
O  0.693  0.150  0.260 (multiplicity 1)
O  0.851  0.596  0.751 (multiplicity 1)
O  0.964  0.837  0.435 (multiplicity 1)



Starting from a cell relaxed with GGA-PBE, the powder XRD pattern of LiTiAlO4 was simulated for Cu Ka.
Neutral-atom scattering factors, no anomalous dispersion.

Peak list (10 most intense, 10° ≤ 2θ ≤ 80°, by angle)
| index | d (Å) | intensity |
| --- | --- | --- |
| 0 1 1 | 4.820 | 46 |
| 1 0 1 | 4.732 | 100 |
| 1 2 1 | 2.513 | 33 |
| 1 0 3 | 2.489 | 16 |
| 2 1 1 | 2.475 | 9 |
| 0 0 4 | 2.068 | 93 |
| 3 2 1 | 1.583 | 12 |
| 0 4 0 | 1.482 | 9 |
| 2 2 4 | 1.463 | 38 |
| 4 0 0 | 1.442 | 9 |

Structure:
Cell lengths 5.768, 5.930, 8.277 Å; angles 90.00, 90.00, 90.00 degrees
Space group Imma (No. 74)
Inequivalent atoms, fractional coordinates:
Li  0.000  0.250  0.129 (multiplicity 4)
Ti  0.000  0.000  0.500 (multiplicity 4)
Al  0.250  0.250  0.750 (multiplicity 4)
O  0.000  0.033  0.738 (multiplicity 8)
O  0.229  0.250  0.513 (multiplicity 8)



Starting from a cell relaxed with GGA-PBE, the powder XRD pattern of LiAl4Tl4O12 was simulated for Cu Ka.
Neutral-atom scattering factors, no anomalous dispersion.

Peak list (10 most intense, 10° ≤ 2θ ≤ 80°, by angle)
| index | d (Å) | intensity |
| --- | --- | --- |
| 1 0 -1 | 4.008 | 66 |
| 0 2 0 | 3.816 | 79 |
| 1 0 1 | 3.713 | 68 |
| 1 2 -1 | 2.764 | 98 |
| 0 0 2 | 2.753 | 41 |
| 2 0 0 | 2.695 | 49 |
| 1 2 1 | 2.661 | 100 |
| 0 2 2 | 2.233 | 42 |
| 2 2 0 | 2.202 | 54 |
| 0 4 0 | 1.908 | 31 |

Structure:
Cell lengths 5.406, 7.633, 5.522 Å; angles 90.00, 94.36, 90.00 degrees
Space group Pm (No. 6)
Inequivalent atoms, fractional coordinates:
Li  0.000  0.000  0.000 (multiplicity 1)
Al  0.253  0.264  0.212 (multiplicity 2)
Al  0.754  0.261  0.743 (multiplicity 2)
Tl  0.263  0.000  0.665 (multiplicity 1)
Tl  0.270  0.500  0.751 (multiplicity 1)
Tl  0.704  0.000  0.309 (multiplicity 1)
Tl  0.759  0.500  0.263 (multiplicity 1)
O  0.060  0.228  0.917 (multiplicity 2)
O  0.172  0.500  0.207 (multiplicity 1)
O  0.319  0.000  0.217 (multiplicity 1)
O  0.470  0.289  0.509 (multiplicity 2)
O  0.549  0.307  0.008 (multiplicity 2)
O  0.704  0.000  0.747 (multiplicity 1)
O  0.848  0.500  0.681 (multiplicity 1)
O  0.965  0.209  0.407 (multiplicity 2)



Starting from a cell relaxed with GGA-PBE, the powder XRD pattern of LiAl4Tl4O12 was simulated for Cu Ka.
Neutral-atom scattering factors, no anomalous dispersion.

Peak list (10 most intense, 10° ≤ 2θ ≤ 80°, by angle)
| index | d (Å) | intensity |
| --- | --- | --- |
| 0 0 2 | 4.246 | 100 |
| 1 1 0 | 3.880 | 74 |
| 1 -1 0 | 3.682 | 88 |
| 1 1 2 | 3.032 | 54 |
| -1 1 2 | 2.879 | 49 |
| 1 1 -2 | 2.722 | 54 |
| 0 2 0 | 2.713 | 40 |
| 1 -1 2 | 2.694 | 57 |
| 2 0 0 | 2.631 | 45 |
| 2 2 1 | 1.939 | 30 |

Structure:
Cell lengths 5.271, 5.478, 8.564 Å; angles 82.74, 88.16, 86.79 degrees
Space group P1 (No. 1)
Inequivalent atoms, fractional coordinates:
Li  0.000  0.000  0.000 (multiplicity 1)
Al  0.046  0.248  0.596 (multiplicity 1)
Al  0.080  0.349  0.168 (multiplicity 1)
Al  0.507  0.811  0.127 (multiplicity 1)
Al  0.530  0.771  0.562 (multiplicity 1)
Tl  0.019  0.784  0.355 (multiplicity 1)
Tl  0.029  0.671  0.809 (multiplicity 1)
Tl  0.519  0.204  0.825 (multiplicity 1)
Tl  0.575  0.281  0.358 (multiplicity 1)
O  0.163  0.320  0.379 (multiplicity 1)
O  0.225  0.640  0.093 (multiplicity 1)
O  0.288  0.982  0.648 (multiplicity 1)
O  0.328  0.137  0.077 (multiplicity 1)
O  0.349  0.489  0.648 (multiplicity 1)
O  0.437  0.825  0.353 (multiplicity 1)
O  0.666  0.843  0.930 (multiplicity 1)
O  0.764  0.558  0.195 (multiplicity 1)
O  0.779  0.037  0.547 (multiplicity 1)
O  0.822  0.557  0.549 (multiplicity 1)
O  0.856  0.089  0.191 (multiplicity 1)
O  0.947  0.258  0.810 (multiplicity 1)



Starting from a cell relaxed with GGA-PBE, the powder XRD pattern of LiAl4Tl4O12 was simulated for Cu Ka.
Neutral-atom scattering factors, no anomalous dispersion.

Peak list (10 most intense, 10° ≤ 2θ ≤ 80°, by angle)
| index | d (Å) | intensity |
| --- | --- | --- |
| 0 0 2 | 4.008 | 77 |
| 1 -1 0 | 3.809 | 74 |
| 1 1 0 | 3.779 | 73 |
| 1 1 -2 | 2.832 | 100 |
| 0 2 0 | 2.728 | 48 |
| -1 1 2 | 2.697 | 53 |
| 1 1 2 | 2.672 | 51 |
| 2 0 0 | 2.640 | 54 |
| 2 0 -2 | 2.213 | 26 |
| 0 2 2 | 2.178 | 27 |

Structure:
Cell lengths 5.279, 5.473, 8.041 Å; angles 94.42, 90.45, 90.41 degrees
Space group P1 (No. 1)
Inequivalent atoms, fractional coordinates:
Li  0.000  0.000  0.000 (multiplicity 1)
Al  0.468  0.185  0.578 (multiplicity 1)
Al  0.475  0.164  0.099 (multiplicity 1)
Al  0.981  0.620  0.109 (multiplicity 1)
Al  0.987  0.700  0.566 (multiplicity 1)
Tl  0.483  0.725  0.825 (multiplicity 1)
Tl  0.486  0.712  0.323 (multiplicity 1)
Tl  0.968  0.191  0.345 (multiplicity 1)
Tl  0.968  0.274  0.785 (multiplicity 1)
O  0.071  0.647  0.342 (multiplicity 1)
O  0.162  0.325  0.055 (multiplicity 1)
O  0.187  0.976  0.634 (multiplicity 1)
O  0.261  0.475  0.633 (multiplicity 1)
O  0.285  0.842  0.073 (multiplicity 1)
O  0.386  0.160  0.347 (multiplicity 1)
O  0.573  0.157  0.855 (multiplicity 1)
O  0.685  0.439  0.156 (multiplicity 1)
O  0.693  0.897  0.545 (multiplicity 1)
O  0.758  0.405  0.555 (multiplicity 1)
O  0.766  0.942  0.159 (multiplicity 1)
O  0.901  0.676  0.876 (multiplicity 1)



Starting from a cell relaxed with GGA-PBE, the powder XRD pattern of LiAl4Tl4O12 was simulated for Cu Ka.
Neutral-atom scattering factors, no anomalous dispersion.

Peak list (10 most intense, 10° ≤ 2θ ≤ 80°, by angle)
| index | d (Å) | intensity |
| --- | --- | --- |
| 0 0 2 | 3.937 | 55 |
| 1 -1 0 | 3.796 | 100 |
| 1 1 -2 | 2.785 | 27 |
| -1 1 2 | 2.762 | 40 |
| 1 -1 2 | 2.712 | 64 |
| 1 1 2 | 2.679 | 39 |
| 2 0 0 | 2.654 | 34 |
| 0 2 2 | 2.220 | 20 |
| 2 0 2 | 2.160 | 20 |
| 2 -2 0 | 1.901 | 24 |

Structure:
Cell lengths 5.312, 5.431, 7.881 Å; angles 90.80, 92.32, 90.18 degrees
Space group P1 (No. 1)
Inequivalent atoms, fractional coordinates:
Li  0.000  0.000  0.000 (multiplicity 1)
Al  0.146  0.579  0.079 (multiplicity 1)
Al  0.156  0.620  0.565 (multiplicity 1)
Al  0.602  0.104  0.097 (multiplicity 1)
Al  0.667  0.104  0.574 (multiplicity 1)
Tl  0.134  0.066  0.333 (multiplicity 1)
Tl  0.196  0.178  0.778 (multiplicity 1)
Tl  0.637  0.648  0.836 (multiplicity 1)
Tl  0.656  0.569  0.332 (multiplicity 1)
O  0.057  0.582  0.826 (multiplicity 1)
O  0.237  0.629  0.319 (multiplicity 1)
O  0.331  0.896  0.033 (multiplicity 1)
O  0.373  0.897  0.609 (multiplicity 1)
O  0.430  0.386  0.026 (multiplicity 1)
O  0.459  0.411  0.618 (multiplicity 1)
O  0.551  0.140  0.331 (multiplicity 1)
O  0.757  0.066  0.815 (multiplicity 1)
O  0.824  0.794  0.121 (multiplicity 1)
O  0.876  0.830  0.514 (multiplicity 1)
O  0.929  0.293  0.126 (multiplicity 1)
O  0.950  0.326  0.526 (multiplicity 1)



Starting from a cell relaxed with GGA-PBE, the powder XRD pattern of LiAl2Os was simulated for Cu Ka.
Neutral-atom scattering factors, no anomalous dispersion.

Peak list (9 most intense, 10° ≤ 2θ ≤ 80°, by angle)
| index | d (Å) | intensity |
| --- | --- | --- |
| 1 1 1 | 3.492 | 100 |
| 2 0 0 | 3.024 | 29 |
| 2 2 0 | 2.138 | 73 |
| 3 1 1 | 1.824 | 49 |
| 2 2 2 | 1.746 | 8 |
| 4 0 0 | 1.512 | 12 |
| 3 3 1 | 1.387 | 20 |
| 4 2 0 | 1.352 | 11 |
| 4 2 2 | 1.235 | 25 |

Structure:
Cell lengths 6.048, 6.048, 6.048 Å; angles 90.00, 90.00, 90.00 degrees
Space group Fm-3m (No. 225)
Inequivalent atoms, fractional coordinates:
Li  0.000  0.000  0.000 (multiplicity 4)
Al  0.250  0.250  0.250 (multiplicity 8)
Os  0.000  0.000  0.500 (multiplicity 4)



Starting from a cell relaxed with GGA-PBE, the powder XRD pattern of LiAlP2 was simulated for Cu Ka.
Neutral-atom scattering factors, no anomalous dispersion.

Peak list (10 most intense, 10° ≤ 2θ ≤ 80°, by angle)
| index | d (Å) | intensity |
| --- | --- | --- |
| 0 2 0 | 5.504 | 31 |
| 1 2 1 | 4.213 | 70 |
| 0 0 4 | 3.403 | 32 |
| 1 3 2 | 2.965 | 26 |
| 2 2 2 | 2.814 | 100 |
| 2 1 3 | 2.789 | 27 |
| 2 1 5 | 2.157 | 33 |
| 0 4 4 | 2.140 | 32 |
| 3 2 3 | 2.029 | 28 |
| 2 2 6 | 1.829 | 32 |

Structure:
Cell lengths 7.469, 11.008, 13.613 Å; angles 90.00, 90.00, 90.00 degrees
Space group Ibca (No. 73)
Inequivalent atoms, fractional coordinates:
Li  0.193  0.161  0.103 (multiplicity 16)
Al  0.106  0.091  0.349 (multiplicity 16)
P  0.000  0.000  0.000 (multiplicity 8)
P  0.000  0.250  0.250 (multiplicity 8)
P  0.160  0.000  0.750 (multiplicity 8)
P  0.250  0.152  0.500 (multiplicity 8)



Starting from a cell relaxed with GGA-PBE, the powder XRD pattern of LiPm2Al was simulated for Cu Ka.
Neutral-atom scattering factors, no anomalous dispersion.

Peak list (10 most intense, 10° ≤ 2θ ≤ 80°, by angle)
| index | d (Å) | intensity |
| --- | --- | --- |
| 1 1 1 | 4.309 | 1 |
| 2 0 0 | 3.732 | 79 |
| 2 2 0 | 2.639 | 100 |
| 3 1 1 | 2.250 | 1 |
| 2 2 2 | 2.155 | 24 |
| 4 0 0 | 1.866 | 18 |
| 4 2 0 | 1.669 | 33 |
| 4 2 2 | 1.524 | 37 |
| 4 4 0 | 1.319 | 11 |
| 6 0 0 | 1.244 | 15 |

Structure:
Cell lengths 7.464, 7.464, 7.464 Å; angles 90.00, 90.00, 90.00 degrees
Space group Fm-3m (No. 225)
Inequivalent atoms, fractional coordinates:
Li  0.000  0.000  0.000 (multiplicity 4)
Pm  0.250  0.250  0.250 (multiplicity 8)
Al  0.000  0.000  0.500 (multiplicity 4)



Starting from a cell relaxed with GGA-PBE, the powder XRD pattern of Li2AlPt was simulated for Cu Ka.
Neutral-atom scattering factors, no anomalous dispersion.

Peak list (9 most intense, 10° ≤ 2θ ≤ 80°, by angle)
| index | d (Å) | intensity |
| --- | --- | --- |
| 1 1 1 | 3.495 | 100 |
| 2 0 0 | 3.027 | 40 |
| 2 2 0 | 2.140 | 59 |
| 3 1 1 | 1.825 | 49 |
| 2 2 2 | 1.747 | 11 |
| 4 0 0 | 1.513 | 10 |
| 3 3 1 | 1.389 | 20 |
| 4 2 0 | 1.354 | 15 |
| 4 2 2 | 1.236 | 20 |

Structure:
Cell lengths 6.054, 6.054, 6.054 Å; angles 90.00, 90.00, 90.00 degrees
Space group F-43m (No. 216)
Inequivalent atoms, fractional coordinates:
Li  0.000  0.000  0.000 (multiplicity 4)
Li  0.250  0.250  0.250 (multiplicity 4)
Al  0.250  0.250  0.750 (multiplicity 4)
Pt  0.000  0.000  0.500 (multiplicity 4)



Starting from a cell relaxed with GGA-PBE, the powder XRD pattern of LiAlPt2 was simulated for Cu Ka.
Neutral-atom scattering factors, no anomalous dispersion.

Peak list (7 most intense, 10° ≤ 2θ ≤ 80°, by angle)
| index | d (Å) | intensity |
| --- | --- | --- |
| 1 1 1 | 3.479 | 1 |
| 2 0 0 | 3.013 | 93 |
| 2 2 0 | 2.130 | 100 |
| 2 2 2 | 1.739 | 26 |
| 4 0 0 | 1.506 | 17 |
| 4 2 0 | 1.347 | 34 |
| 4 2 2 | 1.230 | 35 |

Structure:
Cell lengths 6.026, 6.026, 6.026 Å; angles 90.00, 90.00, 90.00 degrees
Space group Fm-3m (No. 225)
Inequivalent atoms, fractional coordinates:
Li  0.000  0.000  0.000 (multiplicity 4)
Al  0.000  0.000  0.500 (multiplicity 4)
Pt  0.250  0.250  0.250 (multiplicity 8)



Starting from a cell relaxed with GGA-PBE, the powder XRD pattern of LiAl2Pt was simulated for Cu Ka.
Neutral-atom scattering factors, no anomalous dispersion.

Peak list (9 most intense, 10° ≤ 2θ ≤ 80°, by angle)
| index | d (Å) | intensity |
| --- | --- | --- |
| 1 1 1 | 3.516 | 100 |
| 2 0 0 | 3.045 | 30 |
| 2 2 0 | 2.153 | 72 |
| 3 1 1 | 1.836 | 50 |
| 2 2 2 | 1.758 | 9 |
| 4 0 0 | 1.523 | 12 |
| 3 3 1 | 1.397 | 20 |
| 4 2 0 | 1.362 | 11 |
| 4 2 2 | 1.243 | 25 |

Structure:
Cell lengths 6.090, 6.090, 6.090 Å; angles 90.00, 90.00, 90.00 degrees
Space group Fm-3m (No. 225)
Inequivalent atoms, fractional coordinates:
Li  0.000  0.000  0.000 (multiplicity 4)
Al  0.250  0.250  0.250 (multiplicity 8)
Pt  0.000  0.000  0.500 (multiplicity 4)



Starting from a cell relaxed with GGA-PBE, the powder XRD pattern of LiAl2Rh was simulated for Cu Ka.
Neutral-atom scattering factors, no anomalous dispersion.

Peak list (9 most intense, 10° ≤ 2θ ≤ 80°, by angle)
| index | d (Å) | intensity |
| --- | --- | --- |
| 1 1 1 | 3.486 | 98 |
| 2 0 0 | 3.019 | 16 |
| 2 2 0 | 2.135 | 100 |
| 3 1 1 | 1.821 | 45 |
| 2 2 2 | 1.743 | 4 |
| 4 0 0 | 1.510 | 16 |
| 3 3 1 | 1.385 | 18 |
| 4 2 0 | 1.350 | 5 |
| 4 2 2 | 1.233 | 33 |

Structure:
Cell lengths 6.038, 6.038, 6.038 Å; angles 90.00, 90.00, 90.00 degrees
Space group Fm-3m (No. 225)
Inequivalent atoms, fractional coordinates:
Li  0.000  0.000  0.000 (multiplicity 4)
Al  0.250  0.250  0.250 (multiplicity 8)
Rh  0.000  0.000  0.500 (multiplicity 4)